(1)
This entry pairs a crystal structure of Nd4Cd2Bi with its theoretical powder diffraction line list. Radiation: λ = 1.5418 Å (Cu Kα). Structure: a DFT-relaxed cell (GGA-PBE, Alexandria).
Intensities are scaled so that the largest is 100.

Structure:
Unit cell a=7.072 b=11.339 c=5.652 alpha=90.00 beta=90.00 gamma=90.00
Fractional coordinates of all 14 atoms:
1 Nd 0.249 0.000 0.000
2 Nd 0.250 0.250 0.500
3 Nd 0.250 0.750 0.500
4 Nd 0.251 0.500 0.000
5 Nd 0.749 0.500 0.000
6 Nd 0.750 0.250 0.500
7 Nd 0.750 0.750 0.500
8 Nd 0.751 0.000 0.000
9 Cd 0.000 0.262 0.000
10 Cd 0.000 0.738 0.000
11 Cd 0.500 0.238 0.000
12 Cd 0.500 0.762 0.000
13 Bi 0.000 0.000 0.500
14 Bi 0.500 0.500 0.500

Largest 6 diffraction maxima, by intensity, 2θ = 15–90°:
- d 2.650, intensity 100.0
- d 2.826, intensity 30.0
- d 2.835, intensity 29.6
- d 2.001, intensity 23.2
- d 1.596, intensity 21.4
- d 1.599, intensity 20.7


(2)
This entry pairs a crystal structure of AcLa3Sm6 with its theoretical powder diffraction line list. Radiation: λ = 1.5418 Å (Cu Kα). Structure: a DFT-relaxed cell (GGA-PBE, Alexandria).
Intensities are scaled so that the largest is 100.

Structure:
Unit cell a=9.319 b=9.319 c=9.261 alpha=90.00 beta=90.00 gamma=116.21
Fractional coordinates of all 20 atoms:
1 Ac 0.219 0.781 0.500
2 Ac 0.781 0.219 0.000
3 La 0.047 0.953 0.251
4 La 0.197 0.329 0.078
5 La 0.329 0.197 0.578
6 La 0.671 0.803 0.078
7 La 0.803 0.671 0.578
8 La 0.953 0.047 0.751
9 Sm 0.029 0.323 0.409
10 Sm 0.178 0.472 0.744
11 Sm 0.279 0.721 0.130
12 Sm 0.323 0.029 0.909
13 Sm 0.446 0.554 0.392
14 Sm 0.472 0.178 0.244
15 Sm 0.528 0.822 0.744
16 Sm 0.554 0.446 0.892
17 Sm 0.677 0.971 0.409
18 Sm 0.721 0.279 0.630
19 Sm 0.822 0.528 0.244
20 Sm 0.971 0.677 0.909

Largest 6 diffraction maxima, by intensity, 2θ = 15–90°:
- d 2.926, intensity 100.0
- d 2.876, intensity 90.6
- d 3.037, intensity 89.8
- d 3.103, intensity 85.3
- d 3.281, intensity 64.6
- d 2.865, intensity 62.0


(3)
This entry pairs a crystal structure of Dy2Zn3 with its theoretical powder diffraction line list. Radiation: λ = 1.5418 Å (Cu Kα). Structure: a DFT-relaxed cell (GGA-PBE, Alexandria).
Intensities are scaled so that the largest is 100.

Structure:
Unit cell a=13.559 b=13.559 c=4.473 alpha=90.00 beta=90.00 gamma=164.86
Fractional coordinates of all 10 atoms:
1 Dy 0.072 0.928 0.750
2 Dy 0.209 0.791 0.250
3 Dy 0.791 0.209 0.750
4 Dy 0.928 0.072 0.250
5 Zn 0.329 0.671 0.250
6 Zn 0.382 0.618 0.750
7 Zn 0.477 0.523 0.750
8 Zn 0.523 0.477 0.250
9 Zn 0.618 0.382 0.250
10 Zn 0.671 0.329 0.750

Largest 6 diffraction maxima, by intensity, 2θ = 15–90°:
- d 2.665, intensity 100.0
- d 2.615, intensity 60.5
- d 2.304, intensity 50.6
- d 2.237, intensity 33.1
- d 1.700, intensity 33.0
- d 3.724, intensity 27.2


(4)
This entry pairs a crystal structure of KPt2O6 with its theoretical powder diffraction line list. Radiation: λ = 1.5418 Å (Cu Kα). Structure: a DFT-relaxed cell (GGA-PBE, Alexandria).
Intensities are scaled so that the largest is 100.

Structure:
Unit cell a=5.336 b=5.336 c=5.947 alpha=90.00 beta=90.00 gamma=120.00
Fractional coordinates of all 9 atoms:
1 K 0.000 0.000 0.000
2 Pt 0.333 0.667 0.500
3 Pt 0.667 0.333 0.500
4 O 0.000 0.386 0.684
5 O 0.000 0.614 0.316
6 O 0.386 0.000 0.684
7 O 0.386 0.386 0.316
8 O 0.614 0.000 0.316
9 O 0.614 0.614 0.684

Largest 6 diffraction maxima, by intensity, 2θ = 15–90°:
- d 3.649, intensity 100.0
- d 1.986, intensity 70.7
- d 2.434, intensity 65.2
- d 2.668, intensity 54.3
- d 4.621, intensity 42.2
- d 1.591, intensity 23.8


(5)
This entry pairs a crystal structure of Y4RePt2 with its theoretical powder diffraction line list. Radiation: λ = 1.5418 Å (Cu Kα). Structure: a DFT-relaxed cell (GGA-PBE, Alexandria).
Intensities are scaled so that the largest is 100.

Structure:
Unit cell a=5.202 b=5.202 c=14.221 alpha=90.00 beta=90.00 gamma=90.00
Fractional coordinates of all 14 atoms:
1 Y 0.000 0.000 0.192
2 Y 0.000 0.000 0.808
3 Y 0.000 0.500 0.000
4 Y 0.000 0.500 0.500
5 Y 0.500 0.000 0.000
6 Y 0.500 0.000 0.500
7 Y 0.500 0.500 0.308
8 Y 0.500 0.500 0.692
9 Re 0.000 0.000 0.000
10 Re 0.500 0.500 0.500
11 Pt 0.000 0.000 0.384
12 Pt 0.000 0.000 0.616
13 Pt 0.500 0.500 0.116
14 Pt 0.500 0.500 0.884

Largest 6 diffraction maxima, by intensity, 2θ = 15–90°:
- d 2.601, intensity 100.0
- d 2.495, intensity 99.6
- d 3.678, intensity 91.3
- d 1.801, intensity 75.4
- d 1.839, intensity 35.8
- d 3.504, intensity 29.4


(6)
This entry pairs a crystal structure of Pm6B2CBr3 with its theoretical powder diffraction line list. Radiation: λ = 1.5418 Å (Cu Kα). Structure: a DFT-relaxed cell (GGA-PBE, Alexandria).
Intensities are scaled so that the largest is 100.

Structure:
Unit cell a=6.796 b=6.796 c=7.669 alpha=98.49 beta=98.49 gamma=120.00
Fractional coordinates of all 12 atoms:
1 Pm 0.063 0.389 0.188
2 Pm 0.264 0.264 0.811
3 Pm 0.389 0.063 0.188
4 Pm 0.611 0.937 0.812
5 Pm 0.736 0.736 0.189
6 Pm 0.937 0.611 0.812
7 B 0.333 0.667 0.000
8 B 0.667 0.333 0.000
9 C 0.000 0.000 0.000
10 Br 0.168 0.832 0.500
11 Br 0.500 0.500 0.500
12 Br 0.832 0.168 0.500

Largest 6 diffraction maxima, by intensity, 2θ = 15–90°:
- d 2.890, intensity 100.0
- d 2.689, intensity 42.4
- d 3.246, intensity 41.1
- d 1.962, intensity 39.6
- d 1.530, intensity 28.6
- d 2.443, intensity 20.4


(7)
This entry pairs a crystal structure of FeAuBr4 with its theoretical powder diffraction line list. Radiation: λ = 1.5418 Å (Cu Kα). Structure: a DFT-relaxed cell (GGA-PBE, Alexandria).
Intensities are scaled so that the largest is 100.

Structure:
Unit cell a=6.159 b=6.159 c=10.995 alpha=90.00 beta=90.00 gamma=90.00
Fractional coordinates of all 12 atoms:
1 Fe 0.000 0.500 0.250
2 Fe 0.500 0.000 0.750
3 Au 0.000 0.000 0.000
4 Au 0.000 0.000 0.500
5 Br 0.234 0.282 0.371
6 Br 0.234 0.718 0.129
7 Br 0.282 0.234 0.871
8 Br 0.282 0.766 0.629
9 Br 0.718 0.234 0.629
10 Br 0.718 0.766 0.871
11 Br 0.766 0.282 0.129
12 Br 0.766 0.718 0.371

Largest 6 diffraction maxima, by intensity, 2θ = 15–90°:
- d 3.414, intensity 100.0
- d 2.051, intensity 49.8
- d 4.101, intensity 35.6
- d 1.836, intensity 30.6
- d 2.178, intensity 26.0
- d 2.463, intensity 19.6


(8)
This entry pairs a crystal structure of ZrIrPb2 with its theoretical powder diffraction line list. Radiation: λ = 1.5418 Å (Cu Kα). Structure: a DFT-relaxed cell (GGA-PBE, Alexandria).
Intensities are scaled so that the largest is 100.

Structure:
Unit cell a=11.377 b=3.388 c=5.398 alpha=90.00 beta=115.39 gamma=90.00
Fractional coordinates of all 8 atoms:
1 Zr 0.000 0.000 0.000
2 Zr 0.500 0.500 0.000
3 Ir 0.178 0.500 0.306
4 Ir 0.678 0.000 0.306
5 Pb 0.214 0.000 0.789
6 Pb 0.425 0.000 0.432
7 Pb 0.714 0.500 0.789
8 Pb 0.925 0.500 0.432

Largest 6 diffraction maxima, by intensity, 2θ = 15–90°:
- d 2.534, intensity 100.0
- d 2.477, intensity 83.8
- d 2.696, intensity 44.6
- d 2.569, intensity 38.9
- d 2.828, intensity 26.8
- d 1.757, intensity 19.0


(9)
This entry pairs a crystal structure of UTi2Tl3S6 with its theoretical powder diffraction line list. Radiation: λ = 1.5418 Å (Cu Kα). Structure: a DFT-relaxed cell (GGA-PBE, Alexandria).
Intensities are scaled so that the largest is 100.

Structure:
Unit cell a=6.269 b=6.269 c=8.206 alpha=90.05 beta=90.05 gamma=120.01
Fractional coordinates of all 12 atoms:
1 U 0.000 0.000 0.000
2 Ti 0.333 0.667 0.000
3 Ti 0.667 0.333 0.000
4 Tl 0.000 0.000 0.500
5 Tl 0.334 0.666 0.500
6 Tl 0.666 0.334 0.500
7 S 0.000 0.352 0.823
8 S 0.000 0.648 0.177
9 S 0.352 0.000 0.823
10 S 0.353 0.353 0.176
11 S 0.647 0.647 0.824
12 S 0.648 0.000 0.177

Largest 6 diffraction maxima, by intensity, 2θ = 15–90°:
- d 2.491, intensity 100.0
- d 3.134, intensity 63.6
- d 4.103, intensity 38.6
- d 1.717, intensity 30.8
- d 1.810, intensity 23.9
- d 2.928, intensity 20.0


(10)
This entry pairs a crystal structure of Dy2Ho7Tm4 with its theoretical powder diffraction line list. Radiation: λ = 1.5418 Å (Cu Kα). Structure: a DFT-relaxed cell (GGA-PBE, Alexandria).
Intensities are scaled so that the largest is 100.

Structure:
Unit cell a=6.649 b=8.502 c=8.715 alpha=116.85 beta=100.58 gamma=104.09
Fractional coordinates of all 13 atoms:
1 Dy 0.201 0.230 0.131
2 Dy 0.799 0.770 0.869
3 Ho 0.151 0.970 0.685
4 Ho 0.257 0.509 0.570
5 Ho 0.414 0.141 0.458
6 Ho 0.500 0.500 0.000
7 Ho 0.586 0.859 0.542
8 Ho 0.743 0.491 0.430
9 Ho 0.849 0.030 0.315
10 Tm 0.078 0.651 0.225
11 Tm 0.323 0.828 0.994
12 Tm 0.677 0.172 0.006
13 Tm 0.922 0.349 0.775

Largest 6 diffraction maxima, by intensity, 2θ = 15–90°:
- d 2.790, intensity 100.0
- d 2.756, intensity 97.8
- d 2.721, intensity 93.5
- d 2.812, intensity 72.6
- d 2.747, intensity 66.3
- d 2.925, intensity 64.2


(11)
This entry pairs a crystal structure of NdTl2Si2Au7 with its theoretical powder diffraction line list. Radiation: λ = 1.5418 Å (Cu Kα). Structure: a DFT-relaxed cell (GGA-PBE, Alexandria).
Intensities are scaled so that the largest is 100.

Structure:
Unit cell a=4.844 b=4.844 c=11.934 alpha=96.72 beta=96.72 gamma=89.84
Fractional coordinates of all 12 atoms:
1 Nd 0.000 0.000 0.000
2 Tl 0.116 0.116 0.389
3 Tl 0.884 0.884 0.611
4 Si 0.324 0.324 0.785
5 Si 0.676 0.676 0.215
6 Au 0.136 0.556 0.174
7 Au 0.440 0.440 0.602
8 Au 0.444 0.864 0.826
9 Au 0.500 0.500 0.000
10 Au 0.556 0.136 0.174
11 Au 0.560 0.560 0.398
12 Au 0.864 0.444 0.826

Largest 6 diffraction maxima, by intensity, 2θ = 15–90°:
- d 2.744, intensity 100.0
- d 2.578, intensity 87.0
- d 2.801, intensity 62.5
- d 2.413, intensity 60.9
- d 2.354, intensity 55.4
- d 2.957, intensity 53.6


- What is the formula in the fifth record?
  Y4RePt2